DyTmTeC: computed X-ray diffraction stick pattern (Cu Kα X-rays), based on a GGA-PBE-relaxed structure.
Kinematic intensities with the Lorentz-polarization factor, no thermal factor.

Structure:
Cell lengths 3.8028, 3.8028, 13.9216 Å; angles 90.00, 90.00, 120.00 degrees
Space group P6_3mc (No. 186)
One atom of each set of equivalent atoms:
Dy1 0.3333 0.6667 0.0000 x2
Tm1 0.3333 0.6667 0.3142 x2
Te1 0.3333 0.6667 0.6591 x2
C1 0.0000 0.0000 0.4058 x2

Principal peaks in the range 2θ = 5–70°, by intensity:
33.36°, I 100, hkl 1 0 3
27.08°, I 26, hkl 1 0 0
47.84°, I 26, hkl 1 1 0
59.57°, I 19, hkl 2 0 3
63.23°, I 19, hkl 1 1 6
38.81°, I 13, hkl 0 0 6
47.96°, I 12, hkl 1 0 6
66.82°, I 11, hkl 1 0 9
55.83°, I 4, hkl 2 0 0
53.85°, I 3, hkl 1 0 7
27.84°, I 3, hkl 1 0 1
37.60°, I 2, hkl 1 0 4

Dy3ZrTe2C2: computed X-ray diffraction stick pattern (Cu Kα X-rays), based on a GGA-PBE-relaxed structure.
Kinematic intensities with the Lorentz-polarization factor, no thermal factor.

Structure:
Cell lengths 3.7384, 3.7384, 13.9492 Å; angles 90.00, 90.00, 120.00 degrees
Space group P3m1 (No. 156)
One atom of each set of equivalent atoms:
Dy1 0.0000 0.0000 0.0000 x1
Dy2 0.0000 0.0000 0.3179 x1
Dy3 0.6667 0.3333 0.8109 x1
Zr1 0.6667 0.3333 0.4978 x1
Te1 0.0000 0.0000 0.6447 x1
Te2 0.6667 0.3333 0.1603 x1
C1 0.3333 0.6667 0.4183 x1
C2 0.3333 0.6667 0.9036 x1

Principal peaks in the range 2θ = 5–70°, by intensity:
33.73°, I 100, hkl 1 0 3
27.55°, I 26, hkl 1 0 0
48.72°, I 25, hkl 1 1 0
60.57°, I 18, hkl 0 2 3
63.90°, I 18, hkl 1 1 6
38.73°, I 13, hkl 0 0 6
48.19°, I 12, hkl 0 1 6
66.93°, I 11, hkl 1 0 9
56.88°, I 4, hkl 2 0 0
6.34°, I 3, hkl 0 0 1
54.04°, I 2, hkl 1 0 7
30.44°, I 2, hkl 1 0 2

Dy3ZrTe2C2: computed X-ray diffraction stick pattern (Cu Kα X-rays), based on a GGA-PBE-relaxed structure.
Kinematic intensities with the Lorentz-polarization factor, no thermal factor.

Structure:
Cell lengths 3.7401, 3.7401, 13.9563 Å; angles 90.00, 90.00, 120.00 degrees
Space group P3m1 (No. 156)
One atom of each set of equivalent atoms:
Dy1 0.0000 0.0000 0.0000 x1
Dy2 0.0000 0.0000 0.3184 x1
Dy3 0.3333 0.6667 0.5073 x1
Zr1 0.3333 0.6667 0.8200 x1
Te1 0.0000 0.0000 0.6733 x1
Te2 0.3333 0.6667 0.1580 x1
C1 0.6667 0.3333 0.4150 x1
C2 0.6667 0.3333 0.8994 x1

Principal peaks in the range 2θ = 5–70°, by intensity:
33.72°, I 100, hkl 1 0 3
27.54°, I 26, hkl 1 0 0
48.69°, I 25, hkl 1 1 0
60.53°, I 18, hkl 0 2 3
63.87°, I 18, hkl 1 1 6
38.71°, I 13, hkl 0 0 6
48.16°, I 12, hkl 0 1 6
66.90°, I 11, hkl 1 0 9
56.85°, I 4, hkl 2 0 0
6.33°, I 3, hkl 0 0 1
30.42°, I 2, hkl 1 0 2
54.01°, I 2, hkl 1 0 7

Dy3TmTl2C2: computed X-ray diffraction stick pattern (Cu Kα X-rays), based on a GGA-PBE-relaxed structure.
Kinematic intensities with the Lorentz-polarization factor, no thermal factor.

Structure:
Cell lengths 3.6008, 3.6008, 16.2467 Å; angles 90.00, 90.00, 120.00 degrees
Space group P3m1 (No. 156)
One atom of each set of equivalent atoms:
Dy1 0.0000 0.0000 0.0000 x1
Dy2 0.0000 0.0000 0.3358 x1
Dy3 0.3333 0.6667 0.5023 x1
Tm1 0.3333 0.6667 0.8359 x1
Tl1 0.0000 0.0000 0.6704 x1
Tl2 0.3333 0.6667 0.1683 x1
C1 0.6667 0.3333 0.4188 x1
C2 0.6667 0.3333 0.9173 x1

Principal peaks in the range 2θ = 5–70°, by intensity:
33.14°, I 100, hkl 0 0 6
61.91°, I 32, hkl 1 1 6
28.63°, I 18, hkl 1 0 0
50.71°, I 17, hkl 1 1 0
59.14°, I 16, hkl 0 1 9
44.30°, I 13, hkl 1 0 6
69.58°, I 3, hkl 0 2 6
59.27°, I 2, hkl 2 0 0
69.42°, I 2, hkl 0 0 12
29.16°, I 1, hkl 0 1 1
21.88°, I 1, hkl 0 0 4